Record 1
Starting from a cell relaxed with GGA-PBE, the PXRD pattern of Te2HPd4 was computed for Cu Ka.
Intensities are scaled so that the largest is 100.

Main lines, in order of rising 2θ (2θ from 10° to 80°):
2theta	I (rel.)
30.68	19
33.40	66
39.38	29
40.61	100
43.94	54
60.46	32
63.89	17
76.73	20
77.69	15
78.50	28

Atomic structure:
```
data_Te2HPd4
_cell_length_a 4.121
_cell_length_b 4.121
_cell_length_c 13.730
_cell_angle_alpha 90.00
_cell_angle_beta 90.00
_cell_angle_gamma 90.00
_symmetry_space_group_name_H-M 'P 1'
_symmetry_Int_Tables_number 1
loop_
_symmetry_equiv_pos_as_xyz
'x,y,z'
loop_
_atom_site_label
_atom_site_type_symbol
_atom_site_fract_x
_atom_site_fract_y
_atom_site_fract_z
Te1 Te 0.000 0.000 0.152
Te2 Te 0.000 0.000 0.848
Te3 Te 0.500 0.500 0.348
Te4 Te 0.500 0.500 0.652
H1 H 0.000 0.000 0.500
H2 H 0.500 0.500 0.000
Pd1 Pd 0.000 0.000 0.351
Pd2 Pd 0.000 0.000 0.649
Pd3 Pd 0.000 0.500 0.000
Pd4 Pd 0.000 0.500 0.500
Pd5 Pd 0.500 0.000 0.000
Pd6 Pd 0.500 0.000 0.500
Pd7 Pd 0.500 0.500 0.149
Pd8 Pd 0.500 0.500 0.851
```

Record 2
Starting from a cell relaxed with GGA-PBE, the PXRD pattern of SmHo6Tm3 was computed for Cu Ka.
Intensities are scaled so that the largest is 100.

Main lines, in order of rising 2θ (2θ from 10° to 80°):
2theta	I (rel.)
29.07	69
29.48	70
31.62	61
31.73	100
32.51	60
33.18	41
34.06	66
35.06	40
57.32	43
57.89	33

Atomic structure:
```
data_SmHo6Tm3
_cell_length_a 11.417
_cell_length_b 11.417
_cell_length_c 6.327
_cell_angle_alpha 90.00
_cell_angle_beta 90.00
_cell_angle_gamma 130.50
_symmetry_space_group_name_H-M 'P 1'
_symmetry_Int_Tables_number 1
loop_
_symmetry_equiv_pos_as_xyz
'x,y,z'
loop_
_atom_site_label
_atom_site_type_symbol
_atom_site_fract_x
_atom_site_fract_y
_atom_site_fract_z
Sm1 Sm 0.162 0.838 0.500
Sm2 Sm 0.838 0.162 0.000
Ho1 Ho 0.015 0.985 0.303
Ho2 Ho 0.105 0.543 0.818
Ho3 Ho 0.261 0.379 0.061
Ho4 Ho 0.301 0.699 0.275
Ho5 Ho 0.379 0.261 0.561
Ho6 Ho 0.457 0.895 0.818
Ho7 Ho 0.543 0.105 0.318
Ho8 Ho 0.621 0.739 0.061
Ho9 Ho 0.699 0.301 0.775
Ho10 Ho 0.739 0.621 0.561
Ho11 Ho 0.895 0.457 0.318
Ho12 Ho 0.985 0.015 0.803
Tm1 Tm 0.044 0.296 0.476
Tm2 Tm 0.296 0.044 0.976
Tm3 Tm 0.418 0.582 0.586
Tm4 Tm 0.582 0.418 0.086
Tm5 Tm 0.704 0.956 0.476
Tm6 Tm 0.956 0.704 0.976
```

Record 3
Starting from a cell relaxed with GGA-PBE, the PXRD pattern of HfMg2Ga2 was computed for Cu Ka.
Intensities are scaled so that the largest is 100.

Main lines, in order of rising 2θ (2θ from 10° to 80°):
2theta	I (rel.)
16.11	49
27.96	45
32.44	33
32.55	31
36.42	28
36.52	100
38.28	50
46.62	65
60.65	31
70.33	29

Atomic structure:
```
data_HfMg2Ga2
_cell_length_a 7.780
_cell_length_b 7.780
_cell_length_c 3.191
_cell_angle_alpha 90.00
_cell_angle_beta 90.00
_cell_angle_gamma 90.00
_symmetry_space_group_name_H-M 'P 1'
_symmetry_Int_Tables_number 1
loop_
_symmetry_equiv_pos_as_xyz
'x,y,z'
loop_
_atom_site_label
_atom_site_type_symbol
_atom_site_fract_x
_atom_site_fract_y
_atom_site_fract_z
Hf1 Hf 0.000 0.000 0.000
Hf2 Hf 0.500 0.500 0.000
Mg1 Mg 0.152 0.348 0.500
Mg2 Mg 0.348 0.848 0.500
Mg3 Mg 0.652 0.152 0.500
Mg4 Mg 0.848 0.652 0.500
Ga1 Ga 0.148 0.648 0.000
Ga2 Ga 0.352 0.148 0.000
Ga3 Ga 0.648 0.852 0.000
Ga4 Ga 0.852 0.352 0.000
```

Record 4
Starting from a cell relaxed with GGA-PBE, the PXRD pattern of PaCuIr4 was computed for Cu Ka.
Intensities are scaled so that the largest is 100.

Main lines, in order of rising 2θ (2θ from 10° to 80°):
2theta	I (rel.)
20.71	20
23.95	7
34.13	19
40.26	100
42.13	49
49.04	9
53.78	5
61.10	7
65.25	33
71.88	29

Atomic structure:
```
data_PaCuIr4
_cell_length_a 5.254
_cell_length_b 5.254
_cell_length_c 5.254
_cell_angle_alpha 60.00
_cell_angle_beta 60.00
_cell_angle_gamma 60.00
_symmetry_space_group_name_H-M 'P 1'
_symmetry_Int_Tables_number 1
loop_
_symmetry_equiv_pos_as_xyz
'x,y,z'
loop_
_atom_site_label
_atom_site_type_symbol
_atom_site_fract_x
_atom_site_fract_y
_atom_site_fract_z
Pa1 Pa 0.000 0.000 0.000
Cu1 Cu 0.250 0.250 0.250
Ir1 Ir 0.127 0.624 0.624
Ir2 Ir 0.624 0.127 0.624
Ir3 Ir 0.624 0.624 0.127
Ir4 Ir 0.624 0.624 0.624
```

Record 5
Starting from a cell relaxed with GGA-PBE, the PXRD pattern of Li2Bi2S3 was computed for Cu Ka.
Intensities are scaled so that the largest is 100.

Main lines, in order of rising 2θ (2θ from 10° to 80°):
2theta	I (rel.)
16.13	100
19.15	54
20.58	47
26.26	55
29.13	83
32.65	57
34.26	90
34.83	41
35.22	25
41.77	32

Atomic structure:
```
data_Li2Bi2S3
_cell_length_a 6.242
_cell_length_b 8.630
_cell_length_c 6.570
_cell_angle_alpha 90.00
_cell_angle_beta 118.35
_cell_angle_gamma 90.00
_symmetry_space_group_name_H-M 'P 1'
_symmetry_Int_Tables_number 1
loop_
_symmetry_equiv_pos_as_xyz
'x,y,z'
loop_
_atom_site_label
_atom_site_type_symbol
_atom_site_fract_x
_atom_site_fract_y
_atom_site_fract_z
Li1 Li 0.108 0.107 0.409
Li2 Li 0.108 0.393 0.909
Li3 Li 0.892 0.607 0.091
Li4 Li 0.892 0.893 0.591
Bi1 Bi 0.398 0.697 0.571
Bi2 Bi 0.398 0.803 0.071
Bi3 Bi 0.602 0.197 0.929
Bi4 Bi 0.602 0.303 0.429
S1 S 0.145 0.124 0.797
S2 S 0.145 0.376 0.297
S3 S 0.500 0.000 0.500
S4 S 0.500 0.500 0.000
S5 S 0.855 0.624 0.703
S6 S 0.855 0.876 0.203
```

Record 6
Starting from a cell relaxed with GGA-PBE, the PXRD pattern of NdDyEr was computed for Cu Ka.
Intensities are scaled so that the largest is 100.

Main lines, in order of rising 2θ (2θ from 10° to 80°):
2theta	I (rel.)
28.78	24
28.89	13
31.03	49
31.82	100
33.46	58
33.61	28
50.74	25
54.60	22
60.47	15
60.68	29

Atomic structure:
```
data_NdDyEr
_cell_length_a 17.412
_cell_length_b 3.614
_cell_length_c 6.224
_cell_angle_alpha 90.00
_cell_angle_beta 96.75
_cell_angle_gamma 90.00
_symmetry_space_group_name_H-M 'P 1'
_symmetry_Int_Tables_number 1
loop_
_symmetry_equiv_pos_as_xyz
'x,y,z'
loop_
_atom_site_label
_atom_site_type_symbol
_atom_site_fract_x
_atom_site_fract_y
_atom_site_fract_z
Nd1 Nd 0.165 0.000 0.389
Nd2 Nd 0.335 0.500 0.611
Nd3 Nd 0.665 0.500 0.389
Nd4 Nd 0.835 0.000 0.611
Dy1 Dy 0.000 0.000 0.000
Dy2 Dy 0.000 0.500 0.500
Dy3 Dy 0.500 0.000 0.500
Dy4 Dy 0.500 0.500 0.000
Er1 Er 0.167 0.500 0.890
Er2 Er 0.333 0.000 0.110
Er3 Er 0.667 0.000 0.890
Er4 Er 0.833 0.500 0.110
```

Record 7
Starting from a cell relaxed with GGA-PBE, the PXRD pattern of Li7GaSn4 was computed for Cu Ka.
Intensities are scaled so that the largest is 100.

Main lines, in order of rising 2θ (2θ from 10° to 80°):
2theta	I (rel.)
13.23	24
17.95	25
19.89	35
25.34	24
25.94	100
36.50	27
37.53	24
38.36	26
39.05	25
41.03	30

Atomic structure:
```
data_Li7GaSn4
_cell_length_a 7.147
_cell_length_b 7.147
_cell_length_c 10.024
_cell_angle_alpha 125.24
_cell_angle_beta 125.24
_cell_angle_gamma 40.29
_symmetry_space_group_name_H-M 'P 1'
_symmetry_Int_Tables_number 1
loop_
_symmetry_equiv_pos_as_xyz
'x,y,z'
loop_
_atom_site_label
_atom_site_type_symbol
_atom_site_fract_x
_atom_site_fract_y
_atom_site_fract_z
Li1 Li 0.000 0.000 0.000
Li2 Li 0.147 0.147 0.592
Li3 Li 0.284 0.284 0.143
Li4 Li 0.440 0.440 0.662
Li5 Li 0.560 0.560 0.338
Li6 Li 0.716 0.716 0.857
Li7 Li 0.853 0.853 0.408
Ga1 Ga 0.500 0.500 0.000
Sn1 Sn 0.070 0.070 0.795
Sn2 Sn 0.196 0.196 0.350
Sn3 Sn 0.804 0.804 0.650
Sn4 Sn 0.930 0.930 0.205
```

Record 8
Starting from a cell relaxed with GGA-PBE, the PXRD pattern of KCr2 was computed for Cu Ka.
Intensities are scaled so that the largest is 100.

Main lines, in order of rising 2θ (2θ from 10° to 80°):
2theta	I (rel.)
14.50	54
21.84	62
24.70	29
32.02	69
36.78	34
38.62	100
41.40	47
43.56	88
48.33	58
70.16	28

Atomic structure:
```
data_KCr2
_cell_length_a 8.728
_cell_length_b 3.032
_cell_length_c 12.223
_cell_angle_alpha 90.00
_cell_angle_beta 91.81
_cell_angle_gamma 90.00
_symmetry_space_group_name_H-M 'P 1'
_symmetry_Int_Tables_number 1
loop_
_symmetry_equiv_pos_as_xyz
'x,y,z'
loop_
_atom_site_label
_atom_site_type_symbol
_atom_site_fract_x
_atom_site_fract_y
_atom_site_fract_z
K1 K 0.132 0.000 0.168
K2 K 0.368 0.500 0.832
K3 K 0.632 0.500 0.168
K4 K 0.868 0.000 0.832
Cr1 Cr 0.094 0.500 0.599
Cr2 Cr 0.136 0.000 0.439
Cr3 Cr 0.364 0.500 0.561
Cr4 Cr 0.406 0.000 0.401
Cr5 Cr 0.594 0.000 0.599
Cr6 Cr 0.636 0.500 0.439
Cr7 Cr 0.864 0.000 0.561
Cr8 Cr 0.906 0.500 0.401
```

Record 9
Starting from a cell relaxed with GGA-PBE, the PXRD pattern of Np6Se5S was computed for Cu Ka.
Intensities are scaled so that the largest is 100.

Main lines, in order of rising 2θ (2θ from 10° to 80°):
2theta	I (rel.)
26.82	52
31.07	100
44.51	75
52.69	7
52.74	19
55.24	20
64.77	12
71.38	8
73.54	22
73.62	11

Atomic structure:
```
data_Np6Se5S
_cell_length_a 7.052
_cell_length_b 7.052
_cell_length_c 7.058
_cell_angle_alpha 99.60
_cell_angle_beta 99.60
_cell_angle_gamma 120.08
_symmetry_space_group_name_H-M 'P 1'
_symmetry_Int_Tables_number 1
loop_
_symmetry_equiv_pos_as_xyz
'x,y,z'
loop_
_atom_site_label
_atom_site_type_symbol
_atom_site_fract_x
_atom_site_fract_y
_atom_site_fract_z
Np1 Np 0.080 0.404 0.742
Np2 Np 0.240 0.240 0.254
Np3 Np 0.404 0.080 0.742
Np4 Np 0.596 0.920 0.258
Np5 Np 0.760 0.760 0.746
Np6 Np 0.920 0.596 0.258
Se1 Se 0.172 0.828 0.000
Se2 Se 0.334 0.666 0.500
Se3 Se 0.500 0.500 0.000
Se4 Se 0.666 0.334 0.500
Se5 Se 0.828 0.172 0.000
S1 S 0.000 0.000 0.500
```

Record 10
Starting from a cell relaxed with GGA-PBE, the PXRD pattern of LiLa2Hg6 was computed for Cu Ka.
Intensities are scaled so that the largest is 100.

Main lines, in order of rising 2θ (2θ from 10° to 80°):
2theta	I (rel.)
28.93	23
30.17	38
32.08	33
33.00	50
33.85	100
34.67	43
35.12	67
46.31	24
52.05	28
54.34	17

Atomic structure:
```
data_LiLa2Hg6
_cell_length_a 7.057
_cell_length_b 7.057
_cell_length_c 5.451
_cell_angle_alpha 94.42
_cell_angle_beta 94.42
_cell_angle_gamma 57.17
_symmetry_space_group_name_H-M 'P 1'
_symmetry_Int_Tables_number 1
loop_
_symmetry_equiv_pos_as_xyz
'x,y,z'
loop_
_atom_site_label
_atom_site_type_symbol
_atom_site_fract_x
_atom_site_fract_y
_atom_site_fract_z
Li1 Li 0.000 0.000 0.000
La1 La 0.342 0.342 0.795
La2 La 0.658 0.658 0.205
Hg1 Hg 0.152 0.660 0.300
Hg2 Hg 0.190 0.190 0.264
Hg3 Hg 0.340 0.848 0.700
Hg4 Hg 0.660 0.152 0.300
Hg5 Hg 0.810 0.810 0.736
Hg6 Hg 0.848 0.340 0.700
```

Record 11
Starting from a cell relaxed with GGA-PBE, the PXRD pattern of RbNa9Au2 was computed for Cu Ka.
Intensities are scaled so that the largest is 100.

Main lines, in order of rising 2θ (2θ from 10° to 80°):
2theta	I (rel.)
11.95	64
17.89	100
18.80	36
24.02	54
26.06	56
26.71	36
30.86	28
35.08	36
36.23	75
45.02	25

Atomic structure:
```
data_RbNa9Au2
_cell_length_a 10.438
_cell_length_b 10.438
_cell_length_c 10.438
_cell_angle_alpha 100.49
_cell_angle_beta 100.49
_cell_angle_gamma 129.50
_symmetry_space_group_name_H-M 'P 1'
_symmetry_Int_Tables_number 1
loop_
_symmetry_equiv_pos_as_xyz
'x,y,z'
loop_
_atom_site_label
_atom_site_type_symbol
_atom_site_fract_x
_atom_site_fract_y
_atom_site_fract_z
Rb1 Rb 0.375 0.625 0.750
Rb2 Rb 0.625 0.375 0.250
Na1 Na 0.125 0.875 0.250
Na2 Na 0.146 0.579 0.322
Na3 Na 0.146 0.824 0.568
Na4 Na 0.176 0.244 0.322
Na5 Na 0.176 0.854 0.932
Na6 Na 0.244 0.176 0.822
Na7 Na 0.244 0.421 0.068
Na8 Na 0.421 0.244 0.568
Na9 Na 0.421 0.854 0.178
Na10 Na 0.579 0.146 0.822
Na11 Na 0.579 0.756 0.432
Na12 Na 0.756 0.579 0.932
Na13 Na 0.756 0.824 0.178
Na14 Na 0.824 0.146 0.068
Na15 Na 0.824 0.756 0.678
Na16 Na 0.854 0.176 0.432
Na17 Na 0.854 0.421 0.678
Na18 Na 0.875 0.125 0.750
Au1 Au 0.000 0.000 0.000
Au2 Au 0.000 0.000 0.500
Au3 Au 0.000 0.500 0.000
Au4 Au 0.500 0.000 0.500
```

Record 12
Starting from a cell relaxed with GGA-PBE, the PXRD pattern of RbGe was computed for Cu Ka.
Intensities are scaled so that the largest is 100.

Main lines, in order of rising 2θ (2θ from 10° to 80°):
2theta	I (rel.)
14.79	36
22.96	30
25.14	29
29.09	100
30.26	92
31.90	35
33.42	43
37.97	22
55.11	21
56.52	25

Atomic structure:
```
data_RbGe
_cell_length_a 12.099
_cell_length_b 12.099
_cell_length_c 12.099
_cell_angle_alpha 124.72
_cell_angle_beta 124.72
_cell_angle_gamma 82.00
_symmetry_space_group_name_H-M 'P 1'
_symmetry_Int_Tables_number 1
loop_
_symmetry_equiv_pos_as_xyz
'x,y,z'
loop_
_atom_site_label
_atom_site_type_symbol
_atom_site_fract_x
_atom_site_fract_y
_atom_site_fract_z
Rb1 Rb 0.003 0.253 0.506
Rb2 Rb 0.109 0.750 0.859
Rb3 Rb 0.247 0.497 0.994
Rb4 Rb 0.250 0.109 0.859
Rb5 Rb 0.250 0.609 0.359
Rb6 Rb 0.253 0.247 0.250
Rb7 Rb 0.391 0.250 0.641
Rb8 Rb 0.497 0.003 0.250
Rb9 Rb 0.503 0.997 0.750
Rb10 Rb 0.609 0.750 0.359
Rb11 Rb 0.747 0.753 0.750
Rb12 Rb 0.750 0.391 0.641
Rb13 Rb 0.750 0.891 0.141
Rb14 Rb 0.753 0.503 0.006
Rb15 Rb 0.891 0.250 0.141
Rb16 Rb 0.997 0.747 0.494
Ge1 Ge 0.014 0.725 0.090
Ge2 Ge 0.076 0.986 0.210
Ge3 Ge 0.134 0.924 0.410
Ge4 Ge 0.225 0.514 0.590
Ge5 Ge 0.275 0.866 0.290
Ge6 Ge 0.366 0.775 0.790
Ge7 Ge 0.424 0.634 0.910
Ge8 Ge 0.486 0.576 0.710
Ge9 Ge 0.514 0.424 0.290
Ge10 Ge 0.576 0.366 0.090
Ge11 Ge 0.634 0.225 0.210
Ge12 Ge 0.725 0.134 0.710
Ge13 Ge 0.775 0.486 0.410
Ge14 Ge 0.866 0.076 0.590
Ge15 Ge 0.924 0.014 0.790
Ge16 Ge 0.986 0.275 0.910
```